# 1
Structure and theoretical powder XRD pattern of BeSn (a crystal structure in Alexandria, relaxed with GGA-PBE; λ = 1.5418 Å (Cu Kα)).
No peak broadening, texture or thermal motion is included.

Peak list (8 most intense, 10° ≤ 2θ ≤ 90°, most intense first)
- d 2.613, 34.31 deg, I 100
- d 2.895, 30.89 deg, I 93
- d 2.849, 31.40 deg, I 65
- d 3.198, 27.90 deg, I 51
- d 2.791, 32.07 deg, I 45
- d 3.724, 23.89 deg, I 37
- d 2.165, 41.72 deg, I 29
- d 1.551, 59.61 deg, I 28

Structural model:
a = 6.229 Å, b = 6.285 Å, c = 7.448 Å
α = 90.00°, β = 90.00°, γ = 90.00°
Space group P2_12_12_1 (No. 19)
Asymmetric unit:
Be 0.012 0.013 0.460
Be 0.180 0.799 0.945
Sn 0.130 0.137 0.134
Sn 0.163 0.429 0.729

***

# 2
Structure and theoretical powder XRD pattern of BeSn (a crystal structure in Alexandria, relaxed with GGA-PBE; λ = 1.5418 Å (Cu Kα)).
No peak broadening, texture or thermal motion is included.

Peak list (8 most intense, 10° ≤ 2θ ≤ 90°, most intense first)
- d 2.862, 31.25 deg, I 100
- d 2.104, 42.98 deg, I 31
- d 3.645, 24.42 deg, I 24
- d 1.695, 54.09 deg, I 22
- d 1.556, 59.40 deg, I 20
- d 1.320, 71.45 deg, I 20
- d 1.952, 46.52 deg, I 14
- d 1.419, 65.80 deg, I 13

Structural model:
a = 4.2088 Å, b = 4.2088 Å, c = 4.6228 Å
α = 90.00°, β = 90.00°, γ = 120.00°
Space group P6_3/mmc (No. 194)
Asymmetric unit:
Be 0.0000 0.0000 0.0000
Sn 0.3333 0.6667 0.2500

***

# 3
Structure and theoretical powder XRD pattern of Be2SnTe (a crystal structure in Alexandria, relaxed with GGA-PBE; λ = 1.5418 Å (Cu Kα)).
No peak broadening, texture or thermal motion is included.

Peak list (8 most intense, 10° ≤ 2θ ≤ 90°, most intense first)
- d 3.256, 27.39 deg, I 100
- d 2.961, 30.18 deg, I 35
- d 1.761, 51.92 deg, I 35
- d 1.949, 46.60 deg, I 26
- d 2.094, 43.21 deg, I 16
- d 1.596, 57.78 deg, I 13
- d 1.628, 56.53 deg, I 12
- d 2.589, 34.65 deg, I 12

Structural model:
a = 5.922 Å, b = 5.922 Å, c = 10.356 Å
α = 90.00°, β = 90.00°, γ = 90.00°
Space group I-42d (No. 122)
Asymmetric unit:
Be 0.235 0.250 0.125
Sn 0.000 0.000 0.500
Te 0.000 0.000 0.000